Record 1
This entry pairs a crystal structure of FeAs2 with its computed powder diffraction line list. Radiation: a wavelength of 1.5418 Å. Structure: a structure optimized by DFT (PBE).
Kinematic intensities with the Lorentz-polarization factor, no thermal factor.

Structural model:
```
data_FeAs2
_chemical_formula_sum 'Fe2 As4'
_space_group_name_H-M_alt 'P n n m'
_space_group_IT_number 58
_cell_length_a 5.314
_cell_length_b 5.994
_cell_length_c 2.889
_cell_angle_alpha 90.00
_cell_angle_beta 90.00
_cell_angle_gamma 90.00
loop_
_space_group_symop_operation_xyz
'x,y,z'
'-x,-y,-z'
'-x,-y,z'
'x,y,-z'
'x+1/2,-y+1/2,-z+1/2'
'-x+1/2,y+1/2,z+1/2'
'-x+1/2,y+1/2,-z+1/2'
'x+1/2,-y+1/2,z+1/2'
loop_
_atom_site_label
_atom_site_type_symbol
_atom_site_fract_x
_atom_site_fract_y
_atom_site_fract_z
Fe1 Fe 0.000 0.000 0.000
As1 As 0.179 0.361 0.000
```

The 10 most intense peaks (2θ = 10–80°), in order of rising 2θ:
2θ (°)	I_rel
34.35	100.0
35.36	77.4
37.01	36.7
38.52	88.5
48.69	26.1
49.00	55.1
53.98	33.6
55.96	46.7
56.16	35.3
75.17	20.0

Record 2
This entry pairs a crystal structure of Fe12As5 with its computed powder diffraction line list. Radiation: a wavelength of 1.5418 Å. Structure: a structure optimized by DFT (PBE).
Kinematic intensities with the Lorentz-polarization factor, no thermal factor.

Structural model:
```
data_Fe12As5
_chemical_formula_sum 'Fe36 As15'
_space_group_name_H-M_alt 'R 3 2'
_space_group_IT_number 155
_space_group_name_Hall 'R 3 2"'
_cell_length_a 6.7540
_cell_length_b 6.7540
_cell_length_c 16.1869
_cell_angle_alpha 90.00
_cell_angle_beta 90.00
_cell_angle_gamma 120.00
loop_
_atom_site_label
_atom_site_type_symbol
_atom_site_fract_x
_atom_site_fract_y
_atom_site_fract_z
Fe1 Fe 0.0000 0.0000 0.0000
Fe2 Fe 0.0000 0.0000 0.3822
Fe3 Fe 0.0000 0.2369 0.5000
Fe4 Fe 0.0231 0.7569 0.7520
As1 As 0.0000 0.0000 0.1437
As2 As 0.0000 0.3460 0.0000
```

The 10 most intense peaks (2θ = 10–80°), in order of rising 2θ:
2θ (°)	I_rel
31.25	12.1
37.96	28.4
41.21	24.2
41.62	12.9
42.38	36.8
42.91	100.0
46.58	66.2
46.83	37.5
47.55	22.1
76.73	11.3

Record 3
This entry pairs a crystal structure of FeAs with its computed powder diffraction line list. Radiation: a wavelength of 1.5418 Å. Structure: a structure optimized by DFT (PBE).
Kinematic intensities with the Lorentz-polarization factor, no thermal factor.

Structural model:
```
data_FeAs
_chemical_formula_sum 'Fe4 As4'
_space_group_name_H-M_alt 'P n m a'
_space_group_IT_number 62
_cell_length_a 5.397
_cell_length_b 3.315
_cell_length_c 5.998
_cell_angle_alpha 90.00
_cell_angle_beta 90.00
_cell_angle_gamma 90.00
loop_
_space_group_symop_operation_xyz
'x,y,z'
'-x,-y,-z'
'-x+1/2,-y,z+1/2'
'x+1/2,y,-z+1/2'
'x+1/2,-y+1/2,-z+1/2'
'-x+1/2,y+1/2,z+1/2'
'-x,y+1/2,-z'
'x,-y+1/2,z'
loop_
_atom_site_label
_atom_site_type_symbol
_atom_site_fract_x
_atom_site_fract_y
_atom_site_fract_z
Fe1 Fe 0.000 0.250 0.200
As1 As 0.199 0.250 0.576
```

The 10 most intense peaks (2θ = 10–80°), in order of rising 2θ:
2θ (°)	I_rel
34.21	45.6
35.12	100.0
43.23	14.1
44.04	36.1
45.20	39.5
45.93	76.8
53.15	19.2
53.53	42.0
55.43	27.9
74.22	16.6

Record 4
This entry pairs a crystal structure of GaFeAs2 with its computed powder diffraction line list. Radiation: a wavelength of 1.5418 Å. Structure: a structure optimized by DFT (PBE).
Kinematic intensities with the Lorentz-polarization factor, no thermal factor.

Structural model:
```
data_GaFeAs2
_chemical_formula_sum 'Ga4 Fe4 As8'
_space_group_name_H-M_alt 'P n a 21'
_space_group_IT_number 33
_cell_length_a 6.812
_cell_length_b 7.868
_cell_length_c 6.346
_cell_angle_alpha 90.00
_cell_angle_beta 90.00
_cell_angle_gamma 90.00
loop_
_space_group_symop_operation_xyz
'x,y,z'
'-x,-y,z+1/2'
'-x+1/2,y+1/2,z+1/2'
'x+1/2,-y+1/2,z'
loop_
_atom_site_label
_atom_site_type_symbol
_atom_site_fract_x
_atom_site_fract_y
_atom_site_fract_z
Ga1 Ga 0.083 0.126 0.000
Fe1 Fe 0.084 0.623 0.994
As1 As 0.071 0.606 0.350
As2 As 0.095 0.146 0.399
```

The 10 most intense peaks (2θ = 10–80°), in order of rising 2θ:
2θ (°)	I_rel
26.16	100.0
28.12	56.0
29.77	60.8
38.78	34.1
46.16	78.6
50.80	69.8
53.82	11.9
54.92	45.1
55.89	9.9
71.05	22.6

Record 5
This entry pairs a crystal structure of GaFe3As with its computed powder diffraction line list. Radiation: a wavelength of 1.5418 Å. Structure: a structure optimized by DFT (PBE).
Kinematic intensities with the Lorentz-polarization factor, no thermal factor.

Structural model:
```
data_GaFe3As
_chemical_formula_sum 'Ga1 Fe3 As1'
_space_group_name_H-M_alt 'P -6 m 2'
_space_group_IT_number 187
_space_group_name_Hall 'P -6 2'
_cell_length_a 4.0557
_cell_length_b 4.0557
_cell_length_c 4.8677
_cell_angle_alpha 90.00
_cell_angle_beta 90.00
_cell_angle_gamma 120.00
loop_
_atom_site_label
_atom_site_type_symbol
_atom_site_fract_x
_atom_site_fract_y
_atom_site_fract_z
Ga1 Ga 0.0000 0.0000 0.0000
Fe1 Fe 0.3333 0.6667 0.2489
Fe2 Fe 0.6667 0.3333 0.0000
As1 As 0.6667 0.3333 0.5000
```

The 10 most intense peaks (2θ = 10–80°), in order of rising 2θ:
2θ (°)	I_rel
18.23	10.5
25.36	14.5
31.41	35.4
44.69	100.0
45.33	93.4
55.64	7.0
59.32	7.1
65.55	28.8
74.02	6.1
78.62	5.7

Record 6
This entry pairs a crystal structure of Fe12Ge3As2 with its computed powder diffraction line list. Radiation: a wavelength of 1.5418 Å. Structure: a structure optimized by DFT (PBE).
Kinematic intensities with the Lorentz-polarization factor, no thermal factor.

Structural model:
```
data_Fe12Ge3As2
_chemical_formula_sum 'Fe36 Ge9 As6'
_space_group_name_H-M_alt 'R 3 2'
_space_group_IT_number 155
_space_group_name_Hall 'R 3 2"'
_cell_length_a 6.8461
_cell_length_b 6.8461
_cell_length_c 16.0179
_cell_angle_alpha 90.00
_cell_angle_beta 90.00
_cell_angle_gamma 120.00
loop_
_atom_site_label
_atom_site_type_symbol
_atom_site_fract_x
_atom_site_fract_y
_atom_site_fract_z
Fe1 Fe 0.0000 0.0000 0.0000
Fe2 Fe 0.0000 0.0000 0.3851
Fe3 Fe 0.0000 0.2397 0.5000
Fe4 Fe 0.0231 0.7477 0.7514
Ge1 Ge 0.0000 0.3472 0.0000
As1 As 0.0000 0.0000 0.1455
```

The 10 most intense peaks (2θ = 10–80°), in order of rising 2θ:
2θ (°)	I_rel
31.03	10.7
37.76	26.5
40.65	23.8
41.50	14.4
41.86	32.0
42.96	100.0
45.92	74.0
46.44	32.3
47.96	17.4
50.38	10.6

Record 7
This entry pairs a crystal structure of InFeAs with its computed powder diffraction line list. Radiation: a wavelength of 1.5418 Å. Structure: a structure optimized by DFT (PBE).
Kinematic intensities with the Lorentz-polarization factor, no thermal factor.

Structural model:
```
data_InFeAs
_chemical_formula_sum 'In4 Fe4 As4'
_space_group_name_H-M_alt 'F -4 3 m'
_space_group_IT_number 216
_space_group_name_Hall 'F -4 2 3'
_cell_length_a 6.282
_cell_length_b 6.282
_cell_length_c 6.282
_cell_angle_alpha 90.00
_cell_angle_beta 90.00
_cell_angle_gamma 90.00
loop_
_atom_site_label
_atom_site_type_symbol
_atom_site_fract_x
_atom_site_fract_y
_atom_site_fract_z
In1 In 0.000 0.000 0.000
Fe1 Fe 0.250 0.250 0.250
As1 As 0.250 0.250 0.750
```

The 8 most intense peaks (2θ = 10–80°), in order of rising 2θ:
2θ (°)	I_rel
24.55	55.6
28.42	0.9
40.62	100.0
48.04	26.7
58.80	16.1
64.68	10.7
73.92	32.0
79.24	8.0

Record 8
This entry pairs a crystal structure of KFe2As2 with its computed powder diffraction line list. Radiation: a wavelength of 1.5418 Å. Structure: a structure optimized by DFT (PBE).
Kinematic intensities with the Lorentz-polarization factor, no thermal factor.

Structural model:
```
data_KFe2As2
_chemical_formula_sum 'K2 Fe4 As4'
_space_group_name_H-M_alt 'I 4/m m m'
_space_group_IT_number 139
_space_group_name_Hall '-I 4 2'
_cell_length_a 3.774
_cell_length_b 3.774
_cell_length_c 14.133
_cell_angle_alpha 90.00
_cell_angle_beta 90.00
_cell_angle_gamma 90.00
loop_
_atom_site_label
_atom_site_type_symbol
_atom_site_fract_x
_atom_site_fract_y
_atom_site_fract_z
K1 K 0.000 0.000 0.000
Fe1 Fe 0.000 0.500 0.250
As1 As 0.000 0.000 0.347
```

The 10 most intense peaks (2θ = 10–80°), in order of rising 2θ:
2θ (°)	I_rel
12.53	98.1
24.41	10.4
30.35	100.0
35.98	19.0
42.45	41.2
48.23	35.4
50.03	11.4
51.77	54.4
58.06	29.6
70.59	10.6

Record 9
This entry pairs a crystal structure of LaFe4As12 with its computed powder diffraction line list. Radiation: a wavelength of 1.5418 Å. Structure: a structure optimized by DFT (PBE).
Kinematic intensities with the Lorentz-polarization factor, no thermal factor.

Structural model:
```
data_LaFe4As12
_chemical_formula_sum 'La2 Fe8 As24'
_space_group_name_H-M_alt 'I m -3'
_space_group_IT_number 204
_space_group_name_Hall '-I 2 2 3'
_cell_length_a 8.363
_cell_length_b 8.363
_cell_length_c 8.363
_cell_angle_alpha 90.00
_cell_angle_beta 90.00
_cell_angle_gamma 90.00
loop_
_atom_site_label
_atom_site_type_symbol
_atom_site_fract_x
_atom_site_fract_y
_atom_site_fract_z
La1 La 0.000 0.000 0.000
Fe1 Fe 0.250 0.250 0.250
As1 As 0.000 0.157 0.344
```

The 10 most intense peaks (2θ = 10–80°), in order of rising 2θ:
2θ (°)	I_rel
30.23	7.1
33.90	100.0
40.35	48.6
48.69	13.4
53.69	27.7
56.07	31.5
65.03	9.0
67.16	9.0
71.32	6.0
77.39	16.1

Record 10
This entry pairs a crystal structure of LaFe2AsN with its computed powder diffraction line list. Radiation: a wavelength of 1.5418 Å. Structure: a structure optimized by DFT (PBE).
Kinematic intensities with the Lorentz-polarization factor, no thermal factor.

Structural model:
```
data_LaFe2AsN
_chemical_formula_sum 'La4 Fe8 As4 N4'
_space_group_name_H-M_alt 'C m c m'
_space_group_IT_number 63
_space_group_name_Hall '-C 2c 2'
_cell_length_a 3.789
_cell_length_b 11.096
_cell_length_c 7.113
_cell_angle_alpha 90.00
_cell_angle_beta 90.00
_cell_angle_gamma 90.00
loop_
_atom_site_label
_atom_site_type_symbol
_atom_site_fract_x
_atom_site_fract_y
_atom_site_fract_z
La1 La 0.000 0.040 0.250
Fe1 Fe 0.000 0.331 0.055
As1 As 0.000 0.233 0.750
N1 N 0.000 0.500 0.000
```

The 10 most intense peaks (2θ = 10–80°), in order of rising 2θ:
2θ (°)	I_rel
25.04	18.2
33.87	46.3
34.71	46.4
35.55	100.0
36.21	66.5
41.27	24.2
45.88	20.8
48.02	31.3
51.77	25.4
65.13	33.9

Record 11
This entry pairs a crystal structure of Li19Fe20As20 with its computed powder diffraction line list. Radiation: a wavelength of 1.5418 Å. Structure: a structure optimized by DFT (PBE).
Kinematic intensities with the Lorentz-polarization factor, no thermal factor.

Structural model:
```
data_Li19Fe20As20
_chemical_formula_sum 'Li19 Fe20 As20'
_space_group_name_H-M_alt 'P 1'
_space_group_IT_number 1
_cell_length_a 8.376
_cell_length_b 8.466
_cell_length_c 13.019
_cell_angle_alpha 82.37
_cell_angle_beta 75.00
_cell_angle_gamma 89.54
loop_
_space_group_symop_operation_xyz
'x,y,z'
loop_
_atom_site_label
_atom_site_type_symbol
_atom_site_fract_x
_atom_site_fract_y
_atom_site_fract_z
Li1 Li 0.000 0.000 0.000
Li2 Li 0.000 0.499 0.500
Li3 Li 0.165 0.335 0.836
Li4 Li 0.166 0.832 0.335
Li5 Li 0.200 0.100 0.500
Li6 Li 0.201 0.600 0.998
Li7 Li 0.365 0.433 0.336
Li8 Li 0.368 0.933 0.836
Li9 Li 0.400 0.701 0.500
Li10 Li 0.402 0.201 0.998
Li11 Li 0.565 0.034 0.336
Li12 Li 0.599 0.301 0.500
Li13 Li 0.600 0.800 0.998
Li14 Li 0.763 0.133 0.836
Li15 Li 0.764 0.633 0.337
Li16 Li 0.800 0.401 0.998
Li17 Li 0.801 0.900 0.500
Li18 Li 0.966 0.730 0.836
Li19 Li 0.967 0.232 0.336
Fe1 Fe 0.034 0.265 0.669
Fe2 Fe 0.034 0.766 0.167
Fe3 Fe 0.133 0.566 0.667
Fe4 Fe 0.135 0.067 0.167
Fe5 Fe 0.232 0.868 0.668
Fe6 Fe 0.238 0.368 0.167
Fe7 Fe 0.329 0.165 0.669
Fe8 Fe 0.334 0.665 0.167
Fe9 Fe 0.430 0.466 0.669
Fe10 Fe 0.433 0.967 0.168
Fe11 Fe 0.531 0.767 0.669
Fe12 Fe 0.533 0.269 0.167
Fe13 Fe 0.628 0.564 0.167
Fe14 Fe 0.633 0.067 0.667
Fe15 Fe 0.731 0.866 0.168
Fe16 Fe 0.734 0.366 0.668
Fe17 Fe 0.832 0.167 0.167
Fe18 Fe 0.835 0.667 0.668
Fe19 Fe 0.932 0.466 0.169
Fe20 Fe 0.937 0.968 0.669
As1 As 0.080 0.291 0.052
As2 As 0.080 0.793 0.551
As3 As 0.086 0.043 0.785
As4 As 0.086 0.542 0.283
As5 As 0.278 0.889 0.051
As6 As 0.280 0.387 0.551
As7 As 0.286 0.146 0.284
As8 As 0.289 0.643 0.785
As9 As 0.479 0.490 0.050
As10 As 0.480 0.992 0.552
As11 As 0.486 0.244 0.783
As12 As 0.487 0.741 0.284
As13 As 0.679 0.590 0.552
As14 As 0.681 0.090 0.051
As15 As 0.687 0.843 0.784
As16 As 0.688 0.345 0.284
As17 As 0.878 0.188 0.553
As18 As 0.878 0.688 0.052
As19 As 0.882 0.443 0.784
As20 As 0.886 0.943 0.285
```

The 10 most intense peaks (2θ = 10–80°), in order of rising 2θ:
2θ (°)	I_rel
14.22	100.0
27.68	99.1
44.59	46.5
44.96	45.4
48.34	38.8
50.17	19.2
50.65	13.8
56.31	20.5
56.92	12.7
79.94	13.2

Record 12
This entry pairs a crystal structure of MgFe4As4S4 with its computed powder diffraction line list. Radiation: a wavelength of 1.5418 Å. Structure: a structure optimized by DFT (PBE).
Kinematic intensities with the Lorentz-polarization factor, no thermal factor.

Structural model:
```
data_MgFe4As4S4
_chemical_formula_sum 'Mg1 Fe4 As4 S4'
_space_group_name_H-M_alt 'P 1'
_space_group_IT_number 1
_cell_length_a 5.731
_cell_length_b 6.039
_cell_length_c 6.099
_cell_angle_alpha 70.19
_cell_angle_beta 88.82
_cell_angle_gamma 88.82
loop_
_space_group_symop_operation_xyz
'x,y,z'
loop_
_atom_site_label
_atom_site_type_symbol
_atom_site_fract_x
_atom_site_fract_y
_atom_site_fract_z
Mg1 Mg 0.000 0.000 0.000
Fe1 Fe 0.493 0.257 0.739
Fe2 Fe 0.496 0.748 0.258
Fe3 Fe 0.991 0.273 0.224
Fe4 Fe 0.998 0.730 0.774
As1 As 0.159 0.869 0.406
As2 As 0.350 0.363 0.347
As3 As 0.641 0.641 0.649
As4 As 0.833 0.138 0.594
S1 S 0.147 0.378 0.832
S2 S 0.377 0.850 0.868
S3 S 0.615 0.154 0.129
S4 S 0.841 0.626 0.163
```

The 10 most intense peaks (2θ = 10–80°), in order of rising 2θ:
2θ (°)	I_rel
23.42	52.8
31.50	45.7
34.77	89.6
35.06	73.1
35.80	57.8
36.61	79.3
47.79	63.5
48.24	56.1
52.45	57.0
54.80	100.0